Diffraction record for TmAlRh. The X-ray powder pattern is computed, not measured: it uses the PBE geometry in the Materials Project and Cu Kα (λ = 1.5418 Å).

The 12 most intense peaks (2θ = 10–90°), in order of falling intensity:
35.89°, rel. 100, hkl 2 1 1; 33.85°, rel. 59, hkl 1 1 2; 43.50°, rel. 30, hkl 0 2 0; 36.38°, rel. 28, hkl 1 0 3; 27.51°, rel. 24, hkl 1 1 1; 46.03°, rel. 21, hkl 3 0 2; 42.57°, rel. 20, hkl 1 1 3; 52.79°, rel. 19, hkl 1 1 4; 57.96°, rel. 16, hkl 1 2 3; 40.35°, rel. 15, hkl 0 1 3; 17.14°, rel. 15, hkl 1 0 1; 65.19°, rel. 15, hkl 3 2 2

Structural model:
Cell: 6.8130 4.1606 7.9502 Å, 90.00 90.00 90.00°
Space group Pnma (No. 62)
Unique sites:
Tm 0.0359 0.2500 0.1785
Al 0.1367 0.2500 0.5588
Rh 0.2362 0.7500 0.3761


Diffraction record for MgGaPd2. The X-ray powder pattern is computed, not measured: it uses the PBE geometry in the Materials Project and Cu Kα (λ = 1.5418 Å).

The 11 most intense peaks (2θ = 10–90°), in order of falling intensity:
40.73°, rel. 100, hkl 2 2 0; 74.13°, rel. 33, hkl 4 2 2; 28.49°, rel. 18, hkl 2 0 0; 58.96°, rel. 16, hkl 4 0 0; 88.21°, rel. 10, hkl 4 4 0; 66.76°, rel. 6, hkl 4 2 0; 24.61°, rel. 6, hkl 1 1 1; 50.45°, rel. 5, hkl 2 2 2; 48.16°, rel. 3, hkl 3 1 1; 64.86°, rel. 1, hkl 3 3 1; 79.47°, rel. 1, hkl 5 1 1

Structural model:
Cell: 6.2663 6.2663 6.2663 Å, 90.00 90.00 90.00°
Space group Fm-3m (No. 225)
Unique sites:
Mg 0.0000 0.0000 0.0000
Ga 0.0000 0.0000 0.5000
Pd 0.2500 0.2500 0.2500